The following is a computed X-ray diffraction stick pattern of Li7Mn5O12. It was derived from a structure optimized by DFT (GGA+U), using a wavelength of 1.5418 Å.
Neutral-atom scattering factors, no anomalous dispersion.

Cell and atoms:
```
Li7Mn5O12
1.0
5.323 0.000 0.000
0.049 5.753 0.000
2.073 1.497 7.305
Li Mn O
7 5 12
direct
0.000 0.000 0.000
0.155 0.914 0.317
0.171 0.412 0.325
0.448 0.233 0.021
0.552 0.767 0.979
0.829 0.588 0.675
0.845 0.086 0.683
0.000 0.500 0.000
0.326 0.838 0.674
0.340 0.334 0.670
0.660 0.666 0.330
0.674 0.162 0.326
0.013 0.688 0.186
0.069 0.220 0.161
0.252 0.127 0.523
0.292 0.626 0.500
0.427 0.548 0.815
0.432 0.054 0.816
0.568 0.946 0.184
0.573 0.452 0.185
0.708 0.374 0.500
0.748 0.873 0.477
0.931 0.780 0.839
0.987 0.312 0.814
```

Largest 6 diffraction maxima, sorted by position, 10 to 80 degrees two-theta:
| 2θ (°) | d_spacing | I/Imax |
| --- | --- | --- |
| 18.25 | 4.860 | 100 |
| 33.79 | 2.653 | 16 |
| 40.35 | 2.235 | 35 |
| 44.10 | 2.054 | 28 |
| 44.63 | 2.030 | 27 |
| 61.30 | 1.512 | 16 |